No. 1
# Ga3Pd7
Theoretical powder X-ray diffraction pattern, a wavelength of 1.5418 Å. Input: the GGA-PBE geometry in Alexandria.

Top 10 peaks for 2θ = 10–80°, sorted by position:
- 39.38°, I 81
- 40.40°, I 100
- 41.06°, I 25
- 42.43°, I 19
- 44.03°, I 49
- 45.98°, I 23
- 49.07°, I 16
- 65.55°, I 16
- 68.04°, I 14
- 78.51°, I 15

Atomic structure:
a b c (Å): 7.182 7.182 5.518
angles (deg): 104.41 104.41 33.28
Fractional coordinates of all 10 atoms:
1 Ga 0.000 0.000 0.000
2 Ga 0.191 0.191 0.663
3 Ga 0.809 0.809 0.337
4 Pd 0.000 0.000 0.500
5 Pd 0.206 0.206 0.138
6 Pd 0.375 0.375 0.615
7 Pd 0.418 0.418 0.144
8 Pd 0.582 0.582 0.856
9 Pd 0.625 0.625 0.385
10 Pd 0.794 0.794 0.862

=====

No. 2
# Ba2GaPd2
Theoretical powder X-ray diffraction pattern, a wavelength of 1.5418 Å. Input: the GGA-PBE geometry in Alexandria.

Top 10 peaks for 2θ = 10–80°, sorted by position:
- 27.65°, I 100
- 29.80°, I 27
- 30.60°, I 24
- 33.47°, I 27
- 33.58°, I 54
- 34.22°, I 28
- 34.42°, I 42
- 35.25°, I 28
- 38.74°, I 25
- 39.76°, I 41

Atomic structure:
a b c (Å): 8.597 8.597 8.233
angles (deg): 90.00 90.00 149.42
Fractional coordinates of all 10 atoms:
1 Ba 0.043 0.957 0.500
2 Ba 0.213 0.787 0.149
3 Ba 0.787 0.213 0.649
4 Ba 0.957 0.043 0.000
5 Ga 0.408 0.592 0.362
6 Ga 0.592 0.408 0.862
7 Pd 0.154 0.846 0.799
8 Pd 0.446 0.554 0.689
9 Pd 0.554 0.446 0.189
10 Pd 0.846 0.154 0.299

=====

No. 3
# CsCdBiSe3
Theoretical powder X-ray diffraction pattern, a wavelength of 1.5418 Å. Input: the GGA-PBE geometry in Alexandria.

Top 10 peaks for 2θ = 10–80°, sorted by position:
- 10.68°, I 100
- 25.22°, I 20
- 26.65°, I 30
- 27.38°, I 72
- 27.97°, I 60
- 31.25°, I 36
- 32.52°, I 30
- 40.49°, I 29
- 41.08°, I 28
- 44.19°, I 24

Atomic structure:
a b c (Å): 9.809 4.394 10.606
angles (deg): 90.00 108.97 90.00
Fractional coordinates of all 12 atoms:
1 Cs 0.207 0.250 0.242
2 Cs 0.793 0.750 0.758
3 Cd 0.090 0.250 0.613
4 Cd 0.910 0.750 0.387
5 Bi 0.336 0.750 0.873
6 Bi 0.664 0.250 0.127
7 Se 0.130 0.250 0.874
8 Se 0.203 0.750 0.535
9 Se 0.461 0.750 0.148
10 Se 0.539 0.250 0.852
11 Se 0.797 0.250 0.465
12 Se 0.870 0.750 0.126

=====

No. 4
# GaH3NF3
Theoretical powder X-ray diffraction pattern, a wavelength of 1.5418 Å. Input: the GGA-PBE geometry in Alexandria.

Top 10 peaks for 2θ = 10–80°, sorted by position:
- 17.99°, I 46
- 24.44°, I 100
- 32.31°, I 15
- 36.44°, I 17
- 46.34°, I 22
- 50.10°, I 15
- 51.90°, I 17
- 53.13°, I 11
- 60.34°, I 12
- 72.10°, I 11

Atomic structure:
a b c (Å): 5.548 5.655 5.655
angles (deg): 58.60 90.00 90.00
Fractional coordinates of all 16 atoms:
1 Ga 0.249 0.250 0.750
2 Ga 0.751 0.750 0.250
3 H 0.214 0.343 0.144
4 H 0.214 0.644 0.843
5 H 0.470 0.479 0.979
6 H 0.530 0.979 0.479
7 H 0.786 0.144 0.343
8 H 0.786 0.843 0.644
9 N 0.291 0.451 0.951
10 N 0.709 0.951 0.451
11 F 0.000 0.015 0.015
12 F 0.000 0.515 0.515
13 F 0.219 0.061 0.561
14 F 0.500 0.483 0.483
15 F 0.500 0.983 0.983
16 F 0.781 0.561 0.061

=====

No. 5
# TbSi2Ni9
Theoretical powder X-ray diffraction pattern, a wavelength of 1.5418 Å. Input: the GGA-PBE geometry in Alexandria.

Top 10 peaks for 2θ = 10–80°, sorted by position:
- 25.76°, I 10
- 31.02°, I 11
- 31.76°, I 9
- 36.17°, I 15
- 41.31°, I 100
- 45.05°, I 15
- 47.44°, I 9
- 48.84°, I 18
- 51.20°, I 9
- 75.29°, I 15

Atomic structure:
a b c (Å): 7.573 7.573 7.573
angles (deg): 99.55 99.55 131.93
Fractional coordinates of all 24 atoms:
1 Tb 0.375 0.625 0.750
2 Tb 0.625 0.375 0.250
3 Si 0.000 0.000 0.000
4 Si 0.000 0.000 0.500
5 Si 0.000 0.500 0.000
6 Si 0.500 0.000 0.500
7 Ni 0.125 0.875 0.250
8 Ni 0.138 0.562 0.329
9 Ni 0.138 0.810 0.577
10 Ni 0.190 0.267 0.329
11 Ni 0.190 0.862 0.923
12 Ni 0.267 0.190 0.829
13 Ni 0.267 0.438 0.077
14 Ni 0.438 0.267 0.577
15 Ni 0.438 0.862 0.171
16 Ni 0.562 0.138 0.829
17 Ni 0.562 0.733 0.423
18 Ni 0.733 0.562 0.923
19 Ni 0.733 0.810 0.171
20 Ni 0.810 0.138 0.077
21 Ni 0.810 0.733 0.671
22 Ni 0.862 0.190 0.423
23 Ni 0.862 0.438 0.671
24 Ni 0.875 0.125 0.750

=====

No. 6
# Th4Pd6Pt7
Theoretical powder X-ray diffraction pattern, a wavelength of 1.5418 Å. Input: the GGA-PBE geometry in Alexandria.

Top 10 peaks for 2θ = 10–80°, sorted by position:
- 25.12°, I 9
- 29.09°, I 15
- 35.82°, I 100
- 38.80°, I 23
- 41.60°, I 66
- 49.22°, I 13
- 60.29°, I 40
- 72.16°, I 32
- 74.05°, I 8
- 75.92°, I 12

Atomic structure:
a b c (Å): 7.520 7.520 7.520
angles (deg): 109.47 109.47 109.47
Fractional coordinates of all 17 atoms:
1 Th 0.000 0.000 0.500
2 Th 0.000 0.500 0.000
3 Th 0.500 0.000 0.000
4 Th 0.500 0.500 0.500
5 Pd 0.000 0.302 0.302
6 Pd 0.000 0.698 0.698
7 Pd 0.302 0.000 0.302
8 Pd 0.302 0.302 0.000
9 Pd 0.698 0.000 0.698
10 Pd 0.698 0.698 0.000
11 Pt 0.000 0.000 0.000
12 Pt 0.250 0.500 0.750
13 Pt 0.250 0.750 0.500
14 Pt 0.500 0.250 0.750
15 Pt 0.500 0.750 0.250
16 Pt 0.750 0.250 0.500
17 Pt 0.750 0.500 0.250